Computed powder diffractogram of AcZn2GeIr2 for Cu Kα X-rays, from a cell relaxed with PBE.
Intensities are scaled so that the largest is 100.

Main lines, sorted by position (2θ from 15° to 90°):
| index | 2theta | intensity |
| --- | --- | --- |
| 1 0 0 | 19.11 | 13 |
| 0 0 2 | 29.92 | 28 |
| 1 1 1 | 31.08 | 100 |
| 1 0 2 | 35.75 | 48 |
| 2 0 0 | 38.79 | 67 |
| 2 0 2 | 49.75 | 31 |
| 1 1 3 | 53.80 | 51 |
| 2 2 0 | 56.02 | 23 |
| 2 2 2 | 64.82 | 15 |
| 3 1 1 | 65.46 | 25 |
| 2 0 4 | 75.74 | 19 |
| 3 1 3 | 81.41 | 22 |

Crystal structure
Cell lengths 4.643, 4.643, 5.973 Å; angles 90.00, 90.00, 90.00 degrees
Space group P4/mmm (No. 123)
One atom of each set of equivalent atoms:
Ac1 0.000 0.000 0.000 x1
Zn1 0.500 0.500 0.246 x2
Ge1 0.000 0.000 0.500 x1
Ir1 0.000 0.500 0.500 x2